# 1
Calculated X-ray diffraction stick pattern
Compound: BaNdHg4
Radiation: CuKα
Structure: a cell relaxed with GGA-PBE

Lattice parameters (Å, degrees): 3.665 5.179 9.054 90.00 90.00 90.00
Space group Pmmm (No. 47)
Inequivalent atoms, fractional coordinates:
Ba: 0.000 0.000 0.000 x1
Nd: 0.000 0.500 0.500 x1
Hg: 0.500 0.000 0.341 x2
Hg: 0.500 0.500 0.177 x2

Main lines, in order of rising 2θ (15° ≤ 2θ ≤ 90°):
| d [Å] | I_rel | (hkl) |
| --- | --- | --- |
| 3.665 | 19 | 1 0 0 |
| 2.843 | 100 | 1 0 2 |
| 2.607 | 66 | 0 1 3 |
| 2.590 | 33 | 0 2 0 |
| 1.916 | 22 | 1 2 2 |
| 1.499 | 37 | 2 1 3 |

---

# 2
Calculated X-ray diffraction stick pattern
Compound: Ba6NiHg
Radiation: CuKα
Structure: a cell relaxed with GGA-PBE

Lattice parameters (Å, degrees): 7.9888 7.9888 15.3755 90.00 90.00 120.00
Space group P-31c (No. 163)
Inequivalent atoms, fractional coordinates:
Ba: 0.0097 0.3217 0.1185 x12
Ni: 0.0000 0.0000 0.0000 x2
Hg: 0.3333 0.6667 0.7500 x2

Main lines, in order of rising 2θ (15° ≤ 2θ ≤ 90°):
| d [Å] | I_rel | (hkl) |
| --- | --- | --- |
| 3.545 | 100 | 1 1 2 |
| 2.770 | 47 | 2 -1 4 |
| 2.306 | 34 | 3 0 0 |
| 2.157 | 23 | 2 -1 6 |
| 1.933 | 17 | 4 -2 2 |
| 1.476 | 15 | 3 0 8 |

---

# 3
Calculated X-ray diffraction stick pattern
Compound: Ba4Hg2O
Radiation: CuKα
Structure: a cell relaxed with GGA-PBE

Lattice parameters (Å, degrees): 9.950 8.146 14.590 90.00 90.00 90.00
Space group Pnma (No. 62)
Inequivalent atoms, fractional coordinates:
Ba: 0.034 0.250 0.077 x4
Ba: 0.180 0.007 0.343 x8
Ba: 0.193 0.250 0.585 x4
Hg: 0.028 0.250 0.823 x4
Hg: 0.108 0.750 0.553 x4
O: 0.217 0.750 0.922 x4

Main lines, in order of rising 2θ (15° ≤ 2θ ≤ 90°):
| d [Å] | I_rel | (hkl) |
| --- | --- | --- |
| 3.425 | 69 | 1 0 4 |
| 3.349 | 100 | 1 2 2 |
| 3.234 | 72 | 3 0 1 |
| 3.154 | 70 | 2 2 0 |
| 3.006 | 62 | 3 1 1 |
| 2.979 | 67 | 1 2 3 |

---

# 4
Calculated X-ray diffraction stick pattern
Compound: Ba3Hg2O
Radiation: CuKα
Structure: a cell relaxed with GGA-PBE

Lattice parameters (Å, degrees): 4.313 24.544 8.233 90.00 90.00 90.00
Space group Cmcm (No. 63)
Inequivalent atoms, fractional coordinates:
Ba: 0.000 0.089 0.007 x8
Ba: 0.000 0.290 0.750 x4
Hg: 0.000 0.334 0.250 x4
Hg: 0.000 0.494 0.250 x4
O: 0.000 0.152 0.250 x4

Main lines, in order of rising 2θ (15° ≤ 2θ ≤ 90°):
| d [Å] | I_rel | (hkl) |
| --- | --- | --- |
| 3.418 | 24 | 0 4 2 |
| 3.240 | 95 | 1 5 0 |
| 2.956 | 100 | 1 1 2 |
| 2.902 | 69 | 0 6 2 |
| 1.737 | 31 | 1 5 4 |
| 1.731 | 31 | 2 6 2 |

---

# 5
Calculated X-ray diffraction stick pattern
Compound: BaHgP2O8
Radiation: CuKα
Structure: a cell relaxed with GGA-PBE

Lattice parameters (Å, degrees): 5.0991 5.0991 8.1014 90.00 90.00 120.00
Space group P-3 (No. 147)
Inequivalent atoms, fractional coordinates:
Ba: 0.0000 0.0000 0.0000 x1
Hg: 0.0000 0.0000 0.5000 x1
P: 0.3333 0.6667 0.7428 x2
O: 0.0607 0.3583 0.6885 x6
O: 0.3333 0.6667 0.9341 x2

Main lines, in order of rising 2θ (15° ≤ 2θ ≤ 90°):
| d [Å] | I_rel | (hkl) |
| --- | --- | --- |
| 4.416 | 83 | 1 0 0 |
| 2.985 | 100 | 1 0 2 |
| 2.550 | 39 | 1 1 0 |
| 2.158 | 35 | 2 -1 2 |
| 1.939 | 31 | 0 2 2 |
| 1.543 | 28 | 2 1 2 |

---

# 6
Calculated X-ray diffraction stick pattern
Compound: BaHgPO4
Radiation: CuKα
Structure: a cell relaxed with GGA-PBE

Lattice parameters (Å, degrees): 8.837 8.837 8.837 90.00 90.00 90.00
Space group F-43m (No. 216)
Inequivalent atoms, fractional coordinates:
Ba: 0.000 0.000 0.000 x4
Hg: 0.250 0.250 0.250 x4
P: 0.000 0.000 0.500 x4
O: 0.101 0.101 0.399 x16

Main lines, in order of rising 2θ (15° ≤ 2θ ≤ 90°):
| d [Å] | I_rel | (hkl) |
| --- | --- | --- |
| 5.102 | 79 | 1 1 1 |
| 3.124 | 100 | 2 2 0 |
| 2.664 | 43 | 3 1 1 |
| 2.027 | 28 | 3 3 1 |
| 1.804 | 39 | 4 2 2 |
| 1.181 | 22 | 6 4 2 |

---

# 7
Calculated X-ray diffraction stick pattern
Compound: BaPa2HgO7
Radiation: CuKα
Structure: a cell relaxed with GGA-PBE

Lattice parameters (Å, degrees): 4.346 4.346 21.043 90.00 90.00 90.00
Space group I-4m2 (No. 119)
Inequivalent atoms, fractional coordinates:
Ba: 0.000 0.000 0.000 x2
Pa: 0.000 0.000 0.392 x4
Hg: 0.000 0.500 0.250 x2
O: 0.000 0.000 0.292 x4
O: 0.000 0.000 0.500 x2
O: 0.000 0.500 0.094 x4
O: 0.000 0.500 0.592 x4

Main lines, in order of rising 2θ (15° ≤ 2θ ≤ 90°):
| d [Å] | I_rel | (hkl) |
| --- | --- | --- |
| 4.256 | 76 | 1 0 1 |
| 3.694 | 83 | 1 0 3 |
| 3.023 | 100 | 1 0 5 |
| 2.950 | 46 | 1 1 2 |
| 2.173 | 52 | 2 0 0 |
| 1.765 | 44 | 2 1 5 |

---

# 8
Calculated X-ray diffraction stick pattern
Compound: Ba2Hg3Pd7O14
Radiation: CuKα
Structure: a cell relaxed with GGA-PBE

Lattice parameters (Å, degrees): 10.811 6.443 11.060 90.00 90.63 90.00
Space group C2/m (No. 12)
Inequivalent atoms, fractional coordinates:
Ba: 0.011 0.000 0.294 x4
Hg: 0.000 0.500 0.500 x2
Hg: 0.178 0.500 0.198 x4
Pd: 0.000 0.500 0.000 x2
Pd: 0.170 0.500 0.779 x4
Pd: 0.250 0.250 0.000 x4
Pd: 0.250 0.250 0.500 x4
O: 0.009 0.500 0.686 x4
O: 0.093 0.287 0.897 x8
O: 0.140 0.000 0.515 x4
O: 0.187 0.000 0.096 x4
O: 0.239 0.222 0.316 x8

Main lines, in order of rising 2θ (15° ≤ 2θ ≤ 90°):
| d [Å] | I_rel | (hkl) |
| --- | --- | --- |
| 5.535 | 54 | 1 1 0 |
| 2.784 | 61 | 0 2 2 |
| 2.766 | 92 | 0 0 4 |
| 2.745 | 92 | 3 1 -2 |
| 2.723 | 100 | 3 1 2 |
| 2.480 | 58 | 2 2 -2 |

---

# 9
Calculated X-ray diffraction stick pattern
Compound: RbBaHgO2
Radiation: CuKα
Structure: a cell relaxed with GGA-PBE

Lattice parameters (Å, degrees): 7.636 6.703 7.851 90.00 110.51 90.00
Space group P2/c (No. 13)
Inequivalent atoms, fractional coordinates:
Rb: 0.000 0.187 0.250 x2
Ba: 0.500 0.489 0.750 x2
Hg: 0.500 0.000 0.000 x2
O: 0.370 0.279 0.448 x4

Main lines, in order of rising 2θ (15° ≤ 2θ ≤ 90°):
| d [Å] | I_rel | (hkl) |
| --- | --- | --- |
| 3.576 | 66 | 2 0 0 |
| 3.350 | 100 | 1 1 -2 |
| 3.224 | 50 | 0 1 2 |
| 3.035 | 68 | 1 2 0 |
| 2.873 | 37 | 2 1 -2 |
| 2.650 | 46 | 1 1 2 |

---

# 10
Calculated X-ray diffraction stick pattern
Compound: BaHgRuO5
Radiation: CuKα
Structure: a cell relaxed with GGA-PBE

Lattice parameters (Å, degrees): 10.3697 10.3697 8.6061 90.00 90.00 120.00
Space group P6_3/m (No. 176)
Inequivalent atoms, fractional coordinates:
Ba: 0.0000 0.0000 0.0000 x2
Ba: 0.3333 0.6667 0.0164 x4
Hg: 0.0131 0.6812 0.7500 x6
Ru: 0.0134 0.6684 0.2500 x6
O: 0.0892 0.2088 0.7500 x6
O: 0.1083 0.7550 0.0731 x12
O: 0.1202 0.5473 0.2500 x6
O: 0.1624 0.5022 0.7500 x6

Main lines, in order of rising 2θ (15° ≤ 2θ ≤ 90°):
| d [Å] | I_rel | (hkl) |
| --- | --- | --- |
| 3.311 | 100 | 1 1 2 |
| 2.993 | 91 | 3 0 0 |
| 2.221 | 41 | 2 2 2 |
| 1.783 | 35 | 4 1 2 |
| 1.747 | 36 | 3 0 4 |
| 1.728 | 19 | 3 3 0 |

---

# 11
Calculated X-ray diffraction stick pattern
Compound: Ba3HgRu2O9
Radiation: CuKα
Structure: a cell relaxed with GGA-PBE

Lattice parameters (Å, degrees): 5.9090 5.9090 7.3701 90.00 90.00 120.00
Space group P-3m1 (No. 164)
Inequivalent atoms, fractional coordinates:
Ba: 0.0000 0.0000 0.0000 x1
Ba: 0.3333 0.6667 0.6776 x2
Hg: 0.0000 0.0000 0.5000 x1
Ru: 0.3333 0.6667 0.1624 x2
O: 0.0000 0.5000 0.0000 x3
O: 0.1777 0.3554 0.3076 x6

Main lines, in order of rising 2θ (15° ≤ 2θ ≤ 90°):
| d [Å] | I_rel | (hkl) |
| --- | --- | --- |
| 2.990 | 100 | 0 1 2 |
| 2.954 | 94 | 1 1 0 |
| 2.102 | 57 | 2 0 2 |
| 1.734 | 20 | 1 0 4 |
| 1.713 | 39 | 1 2 2 |
| 1.706 | 19 | 3 0 0 |